For Li2SmY2Sb2, a DFT-relaxed cell (PBE, Alexandria) gives the theoretical powder XRD pattern in this record (copper Kα).

Top 6 peaks for 5 to 70 degrees two-theta, by angle:
two_theta	intensity
21.90	73
31.88	92
34.46	100
37.96	99
52.19	30
65.20	36

Structure:
```
data_Li2SmY2Sb2
_cell_length_a 9.383
_cell_length_b 9.383
_cell_length_c 9.383
_cell_angle_alpha 29.27
_cell_angle_beta 29.27
_cell_angle_gamma 29.27
_space_group_name_H-M_alt 'P 1'
_space_group_IT_number 1
loop_
_space_group_symop_operation_xyz
'x,y,z'
loop_
_atom_site_label
_atom_site_type_symbol
_atom_site_fract_x
_atom_site_fract_y
_atom_site_fract_z
Li1 Li 0.092 0.092 0.092
Li2 Li 0.908 0.908 0.908
Sm1 Sm 0.500 0.500 0.500
Y1 Y 0.369 0.369 0.369
Y2 Y 0.631 0.631 0.631
Sb1 Sb 0.237 0.237 0.237
Sb2 Sb 0.763 0.763 0.763
```